(1)
Starting from a cell relaxed with GGA-PBE, the X-ray diffraction stick pattern of AgBiSe2 was computed for Cu Kα, 1.54184 Å.
No peak broadening, texture or thermal motion is included.

Atomic structure:
a b c (Å): 7.2447 7.2447 7.2447
angles (deg): 132.27 132.27 69.81
Atoms (fractional coordinates):
Ag1 0.3750 0.6250 0.7500
Ag2 0.6250 0.3750 0.2500
Bi1 0.1250 0.8750 0.2500
Bi2 0.8750 0.1250 0.7500
Se1 0.1254 0.3754 0.7500
Se2 0.3754 0.1254 0.2500
Se3 0.6246 0.8746 0.7500
Se4 0.8746 0.6246 0.2500

Peak list (6 most intense, 10° ≤ 2θ ≤ 90°, by intensity)
2θ (°)	I/Imax
30.50	100
43.37	76
30.08	52
53.94	40
43.67	37
26.21	32

(2)
Starting from a cell relaxed with GGA-PBE, the X-ray diffraction stick pattern of ZrNbSi was computed for Cu Kα, 1.54184 Å.
No peak broadening, texture or thermal motion is included.

Atomic structure:
a b c (Å): 8.3676 5.5068 5.5068
angles (deg): 60.04 90.00 90.00
Atoms (fractional coordinates):
Zr1 0.1879 0.0000 0.0000
Zr2 0.3013 0.6690 0.6690
Zr3 0.6987 0.6690 0.6690
Zr4 0.8121 0.0000 0.0000
Nb1 0.2257 0.3361 0.3361
Nb2 0.5000 0.1666 0.6726
Nb3 0.5000 0.6726 0.1666
Nb4 0.7743 0.3361 0.3361
Si1 0.0000 0.5222 0.9651
Si2 0.0000 0.5235 0.5235
Si3 0.0000 0.9651 0.5222
Si4 0.5000 0.1694 0.1694

Peak list (6 most intense, 10° ≤ 2θ ≤ 90°, by intensity)
2θ (°)	I/Imax
39.16	100
32.52	58
37.35	57
39.28	46
62.49	25
61.22	22

(3)
Starting from a cell relaxed with GGA-PBE, the X-ray diffraction stick pattern of MgBIr was computed for Cu Kα, 1.54184 Å.
No peak broadening, texture or thermal motion is included.

Atomic structure:
a b c (Å): 5.3079 5.3079 9.4884
angles (deg): 90.00 90.00 120.00
Atoms (fractional coordinates):
Mg1 0.0000 0.0000 0.0000
Mg2 0.0000 0.0000 0.3333
Mg3 0.0000 0.0000 0.6667
Mg4 0.0000 0.5000 0.1667
Mg5 0.5000 0.0000 0.5000
Mg6 0.5000 0.5000 0.8333
B1 0.2049 0.6024 0.6667
B2 0.3976 0.6024 0.3333
B3 0.3976 0.7951 0.0000
B4 0.6024 0.2049 0.0000
B5 0.6024 0.3976 0.3333
B6 0.7951 0.3976 0.6667
Ir1 0.0000 0.5000 0.4552
Ir2 0.0000 0.5000 0.8782
Ir3 0.5000 0.0000 0.2115
Ir4 0.5000 0.0000 0.7885
Ir5 0.5000 0.5000 0.1218
Ir6 0.5000 0.5000 0.5448

Peak list (6 most intense, 10° ≤ 2θ ≤ 90°, by intensity)
2θ (°)	I/Imax
27.01	100
39.20	87
38.88	40
19.31	39
48.99	32
56.40	30

(4)
Starting from a cell relaxed with GGA-PBE, the X-ray diffraction stick pattern of Ca3PbN was computed for Cu Kα, 1.54184 Å.
No peak broadening, texture or thermal motion is included.

Atomic structure:
a b c (Å): 5.9540 5.9540 5.9540
angles (deg): 90.00 90.00 90.00
Atoms (fractional coordinates):
Ca1 0.0000 0.0000 0.5000
Ca2 0.0000 0.5000 0.0000
Ca3 0.5000 0.0000 0.0000
Pb1 0.0000 0.0000 0.0000
N1 0.5000 0.5000 0.5000

Peak list (6 most intense, 10° ≤ 2θ ≤ 90°, by intensity)
2θ (°)	I/Imax
14.88	100
33.66	58
21.10	51
30.02	43
42.97	32
45.71	31

(5)
Starting from a cell relaxed with GGA-PBE, the X-ray diffraction stick pattern of Mn3Cr3B8 was computed for Cu Kα, 1.54184 Å.
No peak broadening, texture or thermal motion is included.

Atomic structure:
a b c (Å): 2.9476 2.9546 12.9334
angles (deg): 90.00 90.00 90.00
Atoms (fractional coordinates):
Mn1 0.0000 0.0000 0.0000
Mn2 0.0000 0.5000 0.1870
Mn3 0.5000 0.5000 0.5005
Cr1 0.0000 0.5000 0.8152
Cr2 0.5000 0.0000 0.3151
Cr3 0.5000 0.0000 0.6872
B1 0.0000 0.0000 0.4342
B2 0.0000 0.0000 0.5669
B3 0.0000 0.5000 0.3594
B4 0.0000 0.5000 0.6410
B5 0.5000 0.0000 0.1429
B6 0.5000 0.0000 0.8612
B7 0.5000 0.5000 0.0683
B8 0.5000 0.5000 0.9355

Peak list (6 most intense, 10° ≤ 2θ ≤ 90°, by intensity)
2θ (°)	I/Imax
45.69	100
36.89	96
46.72	65
31.12	40
41.91	28
81.90	20

(6)
Starting from a cell relaxed with GGA-PBE, the X-ray diffraction stick pattern of Ca2La5Sb5O14 was computed for Cu Kα, 1.54184 Å.
No peak broadening, texture or thermal motion is included.

Atomic structure:
a b c (Å): 7.4822 7.3588 11.4464
angles (deg): 90.00 92.88 90.00
Atoms (fractional coordinates):
Ca1 0.0000 0.0000 0.0000
Ca2 0.0000 0.0000 0.5000
La1 0.2948 0.2385 0.2561
La2 0.2948 0.7615 0.2561
La3 0.5000 0.0000 0.0000
La4 0.7052 0.2385 0.7439
La5 0.7052 0.7615 0.7439
Sb1 0.2477 0.2650 0.7565
Sb2 0.2477 0.7350 0.7565
Sb3 0.5000 0.0000 0.5000
Sb4 0.7523 0.2650 0.2435
Sb5 0.7523 0.7350 0.2435
O1 0.2044 0.0000 0.8530
O2 0.2321 0.0000 0.3859
O3 0.2351 0.0000 0.1312
O4 0.4340 0.2223 0.6294
O5 0.4340 0.7777 0.6294
O6 0.4761 0.2558 0.8613
O7 0.4761 0.7442 0.8613
O8 0.5239 0.2558 0.1387
O9 0.5239 0.7442 0.1387
O10 0.5660 0.2223 0.3706
O11 0.5660 0.7777 0.3706
O12 0.7649 0.0000 0.8688
O13 0.7679 0.0000 0.6141
O14 0.7956 0.0000 0.1470

Peak list (6 most intense, 10° ≤ 2θ ≤ 90°, by intensity)
2θ (°)	I/Imax
28.86	100
15.50	59
27.86	46
12.03	45
29.20	45
34.20	42